No. 1
For RbNa2C, DFT lattice parameters and positions (PBE) gives the theoretical powder X-ray diffraction pattern in this record (CuKα).

Lattice parameters (Å, degrees): 7.949 7.949 7.949 90.00 90.00 90.00
Space group Pa-3 (No. 205)
Unique sites:
Rb 0.000 0.000 0.000 x4
Na 0.239 0.739 0.761 x8
C 0.000 0.000 0.500 x4

Peak list (11 most intense, 5° ≤ 2θ ≤ 70°, in order of rising 2θ)
19.34°, I 593; 22.37°, I 145; 31.84°, I 1000; 37.53°, I 346; 39.26°, I 42; 45.65°, I 170; 50.02°, I 153; 51.41°, I 59; 56.73°, I 338; 60.52°, I 118; 66.55°, I 100

***

No. 2
For NbC, DFT lattice parameters and positions (PBE) gives the theoretical powder X-ray diffraction pattern in this record (CuKα).

Lattice parameters (Å, degrees): 4.506 4.506 4.506 90.00 90.00 90.00
Space group Fm-3m (No. 225)
Unique sites:
Nb 0.000 0.000 0.000 x4
C 0.000 0.000 0.500 x4

Peak list (4 most intense, 5° ≤ 2θ ≤ 70°, in order of rising 2θ)
34.47°, I 1000; 40.02°, I 762; 57.88°, I 487; 69.14°, I 399

***

No. 3
For NbC, DFT lattice parameters and positions (PBE) gives the theoretical powder X-ray diffraction pattern in this record (CuKα).

Lattice parameters (Å, degrees): 3.1362 3.1362 5.3662 90.00 90.00 120.00
Space group P6_3/mmc (No. 194)
Unique sites:
Nb 0.3333 0.6667 0.2500 x2
C 0.0000 0.0000 0.0000 x2

Peak list (8 most intense, 5° ≤ 2θ ≤ 70°, in order of rising 2θ)
32.98°, I 138; 33.40°, I 234; 37.10°, I 1000; 47.64°, I 229; 58.90°, I 198; 62.14°, I 213; 69.18°, I 18; 69.42°, I 170

***

No. 4
For NbC, DFT lattice parameters and positions (PBE) gives the theoretical powder X-ray diffraction pattern in this record (CuKα).

Lattice parameters (Å, degrees): 2.806 2.806 2.806 90.00 90.00 90.00
Space group Pm-3m (No. 221)
Unique sites:
Nb 0.000 0.000 0.000 x1
C 0.500 0.500 0.500 x1

Peak list (4 most intense, 5° ≤ 2θ ≤ 70°, in order of rising 2θ)
31.89°, I 904; 45.72°, I 1000; 56.82°, I 237; 66.65°, I 153

***

No. 5
For NbC, DFT lattice parameters and positions (PBE) gives the theoretical powder X-ray diffraction pattern in this record (CuKα).

Lattice parameters (Å, degrees): 3.7142 3.7142 4.4703 90.00 90.00 120.00
Space group P6_3/mmc (No. 194)
Unique sites:
Nb 0.3333 0.6667 0.2500 x2
C 0.3333 0.6667 0.7500 x2

Peak list (9 most intense, 5° ≤ 2θ ≤ 70°, in order of rising 2θ)
27.73°, I 473; 34.35°, I 1000; 40.35°, I 218; 49.05°, I 361; 49.67°, I 174; 57.28°, I 55; 61.25°, I 191; 65.33°, I 292; 69.52°, I 130